1.
Structure and computed powder X-ray diffraction pattern of NdMo6O12 (a DFT-relaxed cell (GGA+U, the Materials Project); CuKα).
Kinematic intensities with the Lorentz-polarization factor, no thermal factor.

Cell lengths 8.3609, 8.3609, 8.3609 Å; angles 105.84, 105.84, 117.01 degrees
Element x y z (fractional)
Nd  0.2075  0.2075  0.0000
Nd  0.7925  0.7925  0.0000
Mo  0.0023  0.1537  0.4760
Mo  0.1537  0.6777  0.1514
Mo  0.1842  0.6631  0.8473
Mo  0.3223  0.4736  0.4760
Mo  0.3369  0.1842  0.5211
Mo  0.4736  0.9977  0.1514
Mo  0.5264  0.0023  0.8486
Mo  0.6631  0.8158  0.4789
Mo  0.6777  0.5264  0.5240
Mo  0.8158  0.3369  0.1527
Mo  0.8463  0.3223  0.8486
Mo  0.9977  0.8463  0.5240
O  0.1234  0.1572  0.2807
O  0.1236  0.4975  0.2881
O  0.1572  0.8766  0.0338
O  0.1642  0.4602  0.9565
O  0.1639  0.4606  0.6246
O  0.1645  0.8764  0.3739
O  0.2077  0.1642  0.7040
O  0.2094  0.8355  0.7119
O  0.4602  0.5038  0.2960
O  0.4606  0.8361  0.2967
O  0.4962  0.7923  0.9565
O  0.4975  0.2094  0.3739
O  0.5025  0.7906  0.6261
O  0.5038  0.2077  0.0435
O  0.5394  0.1639  0.7033
O  0.5398  0.4962  0.7040
O  0.7906  0.1645  0.2881
O  0.7923  0.8358  0.2960
O  0.8355  0.1236  0.6261
O  0.8361  0.5394  0.3754
O  0.8358  0.5398  0.0435
O  0.8428  0.1234  0.9662
O  0.8764  0.5025  0.7119
O  0.8766  0.8428  0.7193

Peak list (6 most intense, 10° ≤ 2θ ≤ 80°, in order of rising 2θ)
5.041 Å, I = 41
3.565 Å, I = 34
3.188 Å, I = 100
2.446 Å, I = 87
1.873 Å, I = 80
1.729 Å, I = 30

***

2.
Structure and computed powder X-ray diffraction pattern of NdSbMo2O9 (a DFT-relaxed cell (GGA+U, the Materials Project); CuKα).
Kinematic intensities with the Lorentz-polarization factor, no thermal factor.

Cell lengths 9.9015, 9.9015, 11.0600 Å; angles 111.67, 111.67, 95.86 degrees
Element x y z (fractional)
Nd  0.1245  0.8755  0.7500
Nd  0.3255  0.6745  0.2500
Nd  0.6745  0.3255  0.7500
Nd  0.8755  0.1245  0.2500
Sb  0.3531  0.3781  0.4624
Sb  0.3781  0.3531  0.9624
Sb  0.6219  0.6469  0.0376
Sb  0.6469  0.6219  0.5376
Mo  0.0490  0.2591  0.0264
Mo  0.0606  0.4348  0.6953
Mo  0.2591  0.0490  0.5264
Mo  0.4348  0.0606  0.1953
Mo  0.5652  0.9394  0.8047
Mo  0.7409  0.9510  0.4736
Mo  0.9394  0.5652  0.3047
Mo  0.9510  0.7409  0.9736
O  0.0149  0.6931  0.4911
O  0.0508  0.2264  0.1763
O  0.0638  0.0956  0.9002
O  0.0883  0.5592  0.2507
O  0.0956  0.0638  0.4002
O  0.1241  0.7028  0.0618
O  0.1404  0.6181  0.7230
O  0.2129  0.3728  0.8011
O  0.2192  0.4035  0.0759
O  0.2264  0.0508  0.6763
O  0.2972  0.8759  0.4382
O  0.3069  0.9851  0.0089
O  0.3728  0.2129  0.3011
O  0.3819  0.8596  0.7770
O  0.4035  0.2192  0.5759
O  0.4242  0.5407  0.4020
O  0.4408  0.9117  0.2493
O  0.4593  0.5758  0.0980
O  0.5407  0.4242  0.9020
O  0.5592  0.0883  0.7507
O  0.5758  0.4593  0.5980
O  0.5965  0.7808  0.4241
O  0.6181  0.1404  0.2230
O  0.6272  0.7871  0.6989
O  0.6931  0.0149  0.9911
O  0.7028  0.1241  0.5618
O  0.7736  0.9492  0.3237
O  0.7808  0.5965  0.9241
O  0.7871  0.6272  0.1989
O  0.8596  0.3819  0.2770
O  0.8759  0.2972  0.9382
O  0.9044  0.9362  0.5998
O  0.9117  0.4408  0.7493
O  0.9362  0.9044  0.0998
O  0.9492  0.7736  0.8237
O  0.9851  0.3069  0.5089

Peak list (6 most intense, 10° ≤ 2θ ≤ 80°, in order of rising 2θ)
3.908 Å, I = 89
3.647 Å, I = 80
3.441 Å, I = 96
3.311 Å, I = 100
3.295 Å, I = 69
3.212 Å, I = 64